Structure and computed PXRD pattern of CaB2H4 (a PBE-relaxed structure; copper Kα).

Largest 8 diffraction maxima, sorted by position, 2θ from 5° to 70°:
2θ/deg  I/Imax
14.31  100.0
23.85  30.3
26.96  25.6
28.85  57.1
33.96  18.1
36.30  22.2
41.27  20.4
48.81  29.4

Unit cell a=9.3540 b=7.8043 c=7.7883 alpha=73.73 beta=53.22 gamma=53.06
Sites, in units of the cell vectors:
Ca 0.0000 0.0000 0.0000
Ca 0.0000 0.0000 0.5000
Ca 0.0000 0.5000 0.0000
Ca 0.5000 0.0000 0.0000
B 0.0141 0.6506 0.6501
B 0.1853 0.6501 0.6506
B 0.3494 0.9859 0.8147
B 0.3499 0.8147 0.9859
B 0.6501 0.1853 0.0141
B 0.6506 0.0141 0.1853
B 0.8147 0.3499 0.3494
B 0.9859 0.3494 0.3499
H 0.0637 0.2477 0.4572
H 0.0636 0.4564 0.2489
H 0.2477 0.0637 0.7313
H 0.2489 0.7311 0.0636
H 0.2687 0.5428 0.7523
H 0.2689 0.7511 0.5436
H 0.4564 0.0636 0.7311
H 0.4572 0.7313 0.0637
H 0.5428 0.2687 0.9363
H 0.5436 0.9364 0.2689
H 0.7311 0.2489 0.4564
H 0.7313 0.4572 0.2477
H 0.7511 0.2689 0.9364
H 0.7523 0.9363 0.2687
H 0.9364 0.5436 0.7511
H 0.9363 0.7523 0.5428